# 1
This entry pairs a crystal structure of Mo3WSe6S2 with its calculated XRD peak list. Radiation: copper Kα. Structure: a PBE-relaxed structure.
Kinematic intensities with the Lorentz-polarization factor, no thermal factor.

Crystal structure
```
data_Mo3WSe6S2
_chemical_formula_sum 'Mo3 W1 Se6 S2'
_cell_length_a 3.2863
_cell_length_b 3.2863
_cell_length_c 37.3463
_cell_angle_alpha 90.00
_cell_angle_beta 90.00
_cell_angle_gamma 120.00
_symmetry_space_group_name_H-M 'P 3 m 1'
_symmetry_Int_Tables_number 156
loop_
_symmetry_equiv_pos_as_xyz
'x,y,z'
'-y,x-y,z'
'-x+y,-x,z'
'-y,-x,z'
'-x+y,y,z'
'x,x-y,z'
loop_
_atom_site_label
_atom_site_type_symbol
_atom_site_fract_x
_atom_site_fract_y
_atom_site_fract_z
Mo1 Mo 0.0000 0.0000 0.0000
Mo2 Mo 0.0000 0.0000 0.3757
Mo3 Mo 0.3333 0.6667 0.1879
W1 W 0.3333 0.6667 0.5636
Se1 Se 0.0000 0.0000 0.1427
Se2 Se 0.0000 0.0000 0.2331
Se3 Se 0.3333 0.6667 0.0452
Se4 Se 0.3333 0.6667 0.3306
Se5 Se 0.3333 0.6667 0.4209
Se6 Se 0.3333 0.6667 0.9548
S1 S 0.0000 0.0000 0.5223
S2 S 0.0000 0.0000 0.6049
```

Principal peaks in the range 2θ from 10° to 80°, most intense first:
h k l	2θ/deg	I/Imax
0 0 5	11.85	100.0
1 0 8	36.99	72.6
0 1 13	44.83	47.4
1 0 0	31.45	40.2
1 1 0	55.97	26.1
0 0 6	14.23	16.4
1 0 14	46.67	15.6
1 0 5	33.70	14.4
1 1 21	79.40	12.6
0 2 8	69.00	11.3

# 2
This entry pairs a crystal structure of Li4SiPt3 with its calculated XRD peak list. Radiation: copper Kα. Structure: a PBE-relaxed structure.
Kinematic intensities with the Lorentz-polarization factor, no thermal factor.

Crystal structure
```
data_Li4SiPt3
_chemical_formula_sum 'Li24 Si6 Pt18'
_cell_length_a 6.9887
_cell_length_b 6.9887
_cell_length_c 16.5005
_cell_angle_alpha 90.00
_cell_angle_beta 90.00
_cell_angle_gamma 120.00
_symmetry_space_group_name_H-M 'R 3 2'
_symmetry_Int_Tables_number 155
_symmetry_space_group_name_Hall 'R 3 2"'
loop_
_atom_site_label
_atom_site_type_symbol
_atom_site_fract_x
_atom_site_fract_y
_atom_site_fract_z
Li1 Li 0.0000 0.0000 0.2249
Li2 Li 0.0243 0.2631 0.9186
Si1 Si 0.0000 0.0000 0.3991
Pt1 Pt 0.0000 0.6081 0.0000
Pt2 Pt 0.0000 0.7364 0.5000
```

Principal peaks in the range 2θ from 10° to 80°, most intense first:
h k l	2θ/deg	I/Imax
1 1 0	25.49	100.0
1 1 6	41.80	65.3
1 0 1	15.60	34.2
2 1 1	39.78	27.1
0 0 6	32.56	24.0
1 1 12	74.09	17.6
1 2 5	48.42	15.2
3 0 0	44.93	14.0
0 2 1	30.02	12.5
1 3 1	54.98	12.3

# 3
This entry pairs a crystal structure of K2NaAg3C6N6 with its calculated XRD peak list. Radiation: copper Kα. Structure: a PBE-relaxed structure.
Kinematic intensities with the Lorentz-polarization factor, no thermal factor.

Crystal structure
```
data_K2NaAg3C6N6
_chemical_formula_sum 'K2 Na1 Ag3 C6 N6'
_cell_length_a 7.1888
_cell_length_b 7.1888
_cell_length_c 8.6501
_cell_angle_alpha 90.00
_cell_angle_beta 90.00
_cell_angle_gamma 120.00
_symmetry_space_group_name_H-M 'P -3 1 m'
_symmetry_Int_Tables_number 162
_symmetry_space_group_name_Hall '-P 3 2'
loop_
_atom_site_label
_atom_site_type_symbol
_atom_site_fract_x
_atom_site_fract_y
_atom_site_fract_z
K1 K 0.3333 0.6667 0.0000
Na1 Na 0.0000 0.0000 0.0000
Ag1 Ag 0.0000 0.5000 0.5000
C1 C 0.0000 0.3664 0.7100
N1 N 0.0000 0.2961 0.8325
```

Principal peaks in the range 2θ from 10° to 80°, most intense first:
h k l	2θ/deg	I/Imax
2 0 1	30.52	100.0
1 1 1	26.86	59.4
0 0 1	10.23	59.3
2 0 2	35.53	48.9
2 0 0	28.68	44.4
0 0 2	20.54	36.7
1 0 0	14.23	36.2
1 0 1	17.55	30.6
2 0 3	42.75	30.3
4 -2 2	55.36	28.5

# 4
This entry pairs a crystal structure of NaCu3GeSe4 with its calculated XRD peak list. Radiation: copper Kα. Structure: a PBE-relaxed structure.
Kinematic intensities with the Lorentz-polarization factor, no thermal factor.

Crystal structure
```
data_NaCu3GeSe4
_chemical_formula_sum 'Na1 Cu3 Ge1 Se4'
_cell_length_a 5.9899
_cell_length_b 5.9899
_cell_length_c 5.9899
_cell_angle_alpha 90.00
_cell_angle_beta 90.00
_cell_angle_gamma 90.00
_symmetry_space_group_name_H-M 'P -4 3 m'
_symmetry_Int_Tables_number 215
_symmetry_space_group_name_Hall 'P -4 2 3'
loop_
_atom_site_label
_atom_site_type_symbol
_atom_site_fract_x
_atom_site_fract_y
_atom_site_fract_z
Na1 Na 0.0000 0.0000 0.0000
Cu1 Cu 0.0000 0.5000 0.5000
Ge1 Ge 0.5000 0.5000 0.5000
Se1 Se 0.2699 0.2699 0.7301
```

Principal peaks in the range 2θ from 10° to 80°, most intense first:
h k l	2θ/deg	I/Imax
2 2 0	42.70	100.0
1 1 1	25.76	87.4
1 0 0	14.79	50.7
3 1 1	50.54	36.0
4 2 2	78.18	27.7
4 0 0	61.97	14.8
3 2 0	55.30	13.6
3 3 1	68.25	12.5
2 2 1	45.43	11.4
2 1 0	33.45	7.3

# 5
This entry pairs a crystal structure of DyCl2 with its calculated XRD peak list. Radiation: copper Kα. Structure: a PBE-relaxed structure.
Kinematic intensities with the Lorentz-polarization factor, no thermal factor.

Crystal structure
```
data_DyCl2
_chemical_formula_sum 'Dy8 Cl16'
_cell_length_a 6.3622
_cell_length_b 12.4681
_cell_length_c 7.1570
_cell_angle_alpha 90.00
_cell_angle_beta 90.00
_cell_angle_gamma 90.00
_symmetry_space_group_name_H-M 'P b c a'
_symmetry_Int_Tables_number 61
loop_
_symmetry_equiv_pos_as_xyz
'x,y,z'
'-x,-y,-z'
'-x+1/2,-y,z+1/2'
'x+1/2,y,-z+1/2'
'x+1/2,-y+1/2,-z'
'-x+1/2,y+1/2,z'
'-x,y+1/2,-z+1/2'
'x,-y+1/2,z+1/2'
loop_
_atom_site_label
_atom_site_type_symbol
_atom_site_fract_x
_atom_site_fract_y
_atom_site_fract_z
Dy1 Dy 0.1827 0.0980 0.0498
Cl1 Cl 0.0197 0.0449 0.7074
Cl2 Cl 0.1841 0.7086 0.3767
```

Principal peaks in the range 2θ from 10° to 80°, most intense first:
h k l	2θ/deg	I/Imax
1 2 1	23.53	100.0
1 4 1	34.40	30.9
0 2 3	40.49	25.3
2 3 0	35.54	24.6
3 1 1	45.18	22.5
1 1 1	19.98	20.7
1 4 2	40.91	16.3
0 2 0	14.21	15.8
0 0 2	24.88	15.0
2 0 2	37.84	14.1

# 6
This entry pairs a crystal structure of MgCuAs2O7 with its calculated XRD peak list. Radiation: copper Kα. Structure: a PBE-relaxed structure.
Kinematic intensities with the Lorentz-polarization factor, no thermal factor.

Crystal structure
```
data_MgCuAs2O7
_chemical_formula_sum 'Mg4 Cu4 As8 O28'
_cell_length_a 7.2099
_cell_length_b 8.4970
_cell_length_c 9.7761
_cell_angle_alpha 90.00
_cell_angle_beta 112.35
_cell_angle_gamma 90.00
_symmetry_space_group_name_H-M 'P 1 21/c 1'
_symmetry_Int_Tables_number 14
loop_
_symmetry_equiv_pos_as_xyz
'x,y,z'
'-x,-y,-z'
'-x,y+1/2,-z+1/2'
'x,-y+1/2,z+1/2'
loop_
_atom_site_label
_atom_site_type_symbol
_atom_site_fract_x
_atom_site_fract_y
_atom_site_fract_z
Mg1 Mg 0.2325 0.0734 0.1013
Cu1 Cu 0.2984 0.0583 0.6693
As1 As 0.0608 0.7260 0.7460
As2 As 0.4651 0.7221 0.0355
O1 O 0.0285 0.5992 0.6043
O2 O 0.1363 0.5892 0.2290
O3 O 0.1434 0.2367 0.7030
O4 O 0.2434 0.6350 0.9052
O5 O 0.3586 0.2256 0.5439
O6 O 0.4298 0.5978 0.5937
O7 O 0.4880 0.0830 0.3277
```

Principal peaks in the range 2θ from 10° to 80°, most intense first:
h k l	2θ/deg	I/Imax
1 2 -2	28.49	100.0
1 0 2	27.73	48.4
2 2 0	34.19	20.4
3 3 -4	56.05	13.8
1 1 1	21.99	13.1
0 2 0	20.91	12.2
0 2 4	45.45	11.9
1 2 2	34.99	11.4
1 3 -1	34.38	9.1
3 1 0	42.02	8.8